[1]
This entry pairs a crystal structure of YHRh with its computed PXRD pattern. Radiation: Cu Kα, 1.54184 Å. Structure: a GGA-PBE-relaxed structure.
Neutral-atom scattering factors, no anomalous dispersion.

The 12 most intense peaks (10 to 80 degrees two-theta), by angle:
- 36.03°, d = 2.493 Å, I 100
- 36.18°, d = 2.483 Å, I 23
- 36.40°, d = 2.468 Å, I 24
- 51.48°, d = 1.775 Å, I 9
- 52.26°, d = 1.750 Å, I 16
- 64.53°, d = 1.444 Å, I 8
- 64.68°, d = 1.441 Å, I 9
- 64.97°, d = 1.435 Å, I 15
- 65.26°, d = 1.430 Å, I 17
- 76.41°, d = 1.246 Å, I 10
- 76.78°, d = 1.241 Å, I 2
- 77.31°, d = 1.234 Å, I 3

Cell and atoms:
a b c (Å): 4.986 4.986 4.986
angles (deg): 120.65 89.20 120.27
Atoms (fractional coordinates):
Y 0.000 0.000 0.000
Y 0.500 0.000 0.500
H 0.500 0.000 0.000
H 0.500 0.500 0.500
Rh 0.223 0.473 0.750
Rh 0.777 0.527 0.250

[2]
This entry pairs a crystal structure of Re3HgF with its computed PXRD pattern. Radiation: Cu Kα, 1.54184 Å. Structure: a GGA-PBE-relaxed structure.
Neutral-atom scattering factors, no anomalous dispersion.

The 6 most intense peaks (10 to 80 degrees two-theta), by angle:
- 29.47°, d = 3.031 Å, I 1
- 36.30°, d = 2.475 Å, I 100
- 42.17°, d = 2.143 Å, I 55
- 61.16°, d = 1.515 Å, I 37
- 73.24°, d = 1.292 Å, I 40
- 77.08°, d = 1.237 Å, I 13

Cell and atoms:
a b c (Å): 4.286 4.286 4.286
angles (deg): 90.00 90.00 90.00
Atoms (fractional coordinates):
Re 0.000 0.000 0.500
Re 0.000 0.500 0.000
Re 0.500 0.000 0.000
Hg 0.500 0.500 0.500
F 0.000 0.000 0.000

[3]
This entry pairs a crystal structure of Ta3MnH4 with its computed PXRD pattern. Radiation: Cu Kα, 1.54184 Å. Structure: a GGA-PBE-relaxed structure.
Neutral-atom scattering factors, no anomalous dispersion.

The 12 most intense peaks (10 to 80 degrees two-theta), by angle:
- 23.02°, d = 3.864 Å, I 11
- 34.25°, d = 2.618 Å, I 54
- 35.61°, d = 2.521 Å, I 30
- 37.93°, d = 2.372 Å, I 69
- 39.68°, d = 2.271 Å, I 100
- 50.24°, d = 1.816 Å, I 22
- 61.50°, d = 1.508 Å, I 20
- 63.78°, d = 1.459 Å, I 15
- 64.99°, d = 1.435 Å, I 24
- 72.32°, d = 1.307 Å, I 24
- 75.74°, d = 1.256 Å, I 11
- 77.97°, d = 1.225 Å, I 17

Cell and atoms:
a b c (Å): 5.725 5.322 5.236
angles (deg): 90.00 90.00 90.00
Atoms (fractional coordinates):
Ta 0.000 0.160 0.000
Ta 0.247 0.345 0.505
Ta 0.253 0.655 0.005
Ta 0.500 0.840 0.500
Ta 0.747 0.655 0.005
Ta 0.753 0.345 0.505
Mn 0.000 0.839 0.498
Mn 0.500 0.161 0.998
H 0.000 0.135 0.639
H 0.000 0.838 0.172
H 0.232 0.680 0.643
H 0.268 0.320 0.143
H 0.500 0.162 0.672
H 0.500 0.865 0.139
H 0.732 0.320 0.143
H 0.768 0.680 0.643

[4]
This entry pairs a crystal structure of Li2Ru2S with its computed PXRD pattern. Radiation: Cu Kα, 1.54184 Å. Structure: a GGA-PBE-relaxed structure.
Neutral-atom scattering factors, no anomalous dispersion.

The 12 most intense peaks (10 to 80 degrees two-theta), by angle:
- 11.44°, d = 7.735 Å, I 100
- 22.99°, d = 3.868 Å, I 42
- 34.79°, d = 2.578 Å, I 9
- 37.74°, d = 2.384 Å, I 11
- 39.56°, d = 2.278 Å, I 43
- 44.66°, d = 2.029 Å, I 16
- 52.26°, d = 1.750 Å, I 16
- 54.44°, d = 1.686 Å, I 8
- 55.82°, d = 1.647 Å, I 7
- 59.85°, d = 1.545 Å, I 13
- 61.77°, d = 1.502 Å, I 6
- 72.89°, d = 1.298 Å, I 7

Cell and atoms:
a b c (Å): 8.094 8.094 8.094
angles (deg): 155.96 155.96 34.25
Atoms (fractional coordinates):
Li 0.084 0.084 0.000
Li 0.916 0.916 0.000
Ru 0.250 0.750 0.500
Ru 0.750 0.250 0.500
S 0.500 0.500 0.000

[5]
This entry pairs a crystal structure of Hg3P2O8 with its computed PXRD pattern. Radiation: Cu Kα, 1.54184 Å. Structure: a GGA-PBE-relaxed structure.
Neutral-atom scattering factors, no anomalous dispersion.

The 12 most intense peaks (10 to 80 degrees two-theta), by angle:
- 21.46°, d = 4.140 Å, I 62
- 22.02°, d = 4.036 Å, I 13
- 24.52°, d = 3.630 Å, I 22
- 26.78°, d = 3.329 Å, I 43
- 28.74°, d = 3.106 Å, I 100
- 29.12°, d = 3.066 Å, I 25
- 30.51°, d = 2.930 Å, I 27
- 30.59°, d = 2.922 Å, I 24
- 41.10°, d = 2.196 Å, I 15
- 42.61°, d = 2.122 Å, I 15
- 42.74°, d = 2.115 Å, I 15
- 43.77°, d = 2.068 Å, I 22

Cell and atoms:
a b c (Å): 10.122 11.689 6.528
angles (deg): 90.00 99.41 90.00
Atoms (fractional coordinates):
Hg 0.039 0.119 0.180
Hg 0.039 0.381 0.680
Hg 0.305 0.100 0.668
Hg 0.305 0.400 0.168
Hg 0.347 0.671 0.580
Hg 0.347 0.829 0.080
Hg 0.653 0.171 0.920
Hg 0.653 0.329 0.420
Hg 0.695 0.600 0.832
Hg 0.695 0.900 0.332
Hg 0.961 0.619 0.320
Hg 0.961 0.881 0.820
P 0.106 0.633 0.900
P 0.106 0.867 0.400
P 0.389 0.099 0.187
P 0.389 0.401 0.687
P 0.611 0.599 0.313
P 0.611 0.901 0.813
P 0.894 0.133 0.600
P 0.894 0.367 0.100
O 0.023 0.206 0.586
O 0.023 0.294 0.086
O 0.084 0.560 0.695
O 0.084 0.940 0.195
O 0.138 0.561 0.097
O 0.138 0.939 0.597
O 0.223 0.717 0.866
O 0.223 0.783 0.366
O 0.284 0.093 0.982
O 0.284 0.407 0.482
O 0.298 0.137 0.350
O 0.298 0.363 0.850
O 0.449 0.523 0.740
O 0.449 0.977 0.240
O 0.499 0.686 0.319
O 0.499 0.814 0.819
O 0.501 0.186 0.181
O 0.501 0.314 0.681
O 0.551 0.023 0.760
O 0.551 0.477 0.260
O 0.702 0.637 0.150
O 0.702 0.863 0.650
O 0.716 0.593 0.518
O 0.716 0.907 0.018
O 0.777 0.217 0.634
O 0.777 0.283 0.134
O 0.862 0.061 0.403
O 0.862 0.439 0.903
O 0.916 0.060 0.805
O 0.916 0.440 0.305
O 0.977 0.706 0.914
O 0.977 0.794 0.414

[6]
This entry pairs a crystal structure of SrPmEr4S8 with its computed PXRD pattern. Radiation: Cu Kα, 1.54184 Å. Structure: a GGA-PBE-relaxed structure.
Neutral-atom scattering factors, no anomalous dispersion.

The 12 most intense peaks (10 to 80 degrees two-theta), by angle:
- 13.35°, d = 6.633 Å, I 16
- 21.71°, d = 4.094 Å, I 16
- 25.48°, d = 3.495 Å, I 31
- 25.69°, d = 3.468 Å, I 100
- 26.88°, d = 3.316 Å, I 17
- 31.04°, d = 2.881 Å, I 35
- 40.52°, d = 2.226 Å, I 16
- 40.70°, d = 2.217 Å, I 23
- 40.81°, d = 2.211 Å, I 19
- 44.25°, d = 2.047 Å, I 39
- 44.69°, d = 2.028 Å, I 39
- 62.09°, d = 1.495 Å, I 15

Cell and atoms:
a b c (Å): 8.188 8.188 8.188
angles (deg): 59.38 59.38 59.38
Atoms (fractional coordinates):
Sr 0.000 0.000 0.000
Pm 0.628 0.628 0.628
Er 0.121 0.628 0.628
Er 0.252 0.252 0.252
Er 0.628 0.121 0.628
Er 0.628 0.628 0.121
S 0.378 0.378 0.857
S 0.378 0.857 0.378
S 0.384 0.384 0.384
S 0.418 0.868 0.868
S 0.857 0.378 0.378
S 0.861 0.861 0.861
S 0.868 0.418 0.868
S 0.868 0.868 0.418

[7]
This entry pairs a crystal structure of PaBr3Cl2 with its computed PXRD pattern. Radiation: Cu Kα, 1.54184 Å. Structure: a GGA-PBE-relaxed structure.
Neutral-atom scattering factors, no anomalous dispersion.

The 12 most intense peaks (10 to 80 degrees two-theta), by angle:
- 13.10°, d = 6.758 Å, I 100
- 13.22°, d = 6.695 Å, I 37
- 16.82°, d = 5.273 Å, I 53
- 22.94°, d = 3.877 Å, I 23
- 26.38°, d = 3.379 Å, I 25
- 31.19°, d = 2.868 Å, I 19
- 33.97°, d = 2.639 Å, I 29
- 34.25°, d = 2.618 Å, I 23
- 35.28°, d = 2.544 Å, I 25
- 39.07°, d = 2.306 Å, I 12
- 41.29°, d = 2.187 Å, I 15
- 47.79°, d = 1.903 Å, I 21

Cell and atoms:
a b c (Å): 8.269 8.269 8.269
angles (deg): 139.41 123.49 71.86
Atoms (fractional coordinates):
Pa 0.000 0.000 0.000
Br 0.000 0.500 0.500
Br 0.382 0.141 0.240
Br 0.901 0.141 0.760
Cl 0.094 0.868 0.226
Cl 0.642 0.868 0.774

[8]
This entry pairs a crystal structure of ScAg2Hg with its computed PXRD pattern. Radiation: Cu Kα, 1.54184 Å. Structure: a GGA-PBE-relaxed structure.
Neutral-atom scattering factors, no anomalous dispersion.

The 12 most intense peaks (10 to 80 degrees two-theta), by angle:
- 22.97°, d = 3.872 Å, I 34
- 36.52°, d = 2.461 Å, I 100
- 39.68°, d = 2.271 Å, I 9
- 40.67°, d = 2.218 Å, I 37
- 45.75°, d = 1.983 Å, I 13
- 47.22°, d = 1.925 Å, I 11
- 58.13°, d = 1.587 Å, I 6
- 58.87°, d = 1.569 Å, I 12
- 62.86°, d = 1.478 Å, I 20
- 71.30°, d = 1.323 Å, I 27
- 77.60°, d = 1.230 Å, I 11
- 78.51°, d = 1.218 Å, I 10

Cell and atoms:
a b c (Å): 5.057 5.057 5.057
angles (deg): 127.96 127.96 76.69
Atoms (fractional coordinates):
Sc 0.000 0.000 0.000
Ag 0.250 0.750 0.500
Ag 0.750 0.250 0.500
Hg 0.500 0.500 0.000